# 1
Starting from DFT lattice parameters and positions (GGA-PBE), the XRD peak list of RbCu2SiSe4 was computed for Cu Kα X-rays.
Peak positions follow from Bragg's law for the DFT cell and can differ from measured ones.

Largest 10 diffraction maxima, by angle, 2θ from 15° to 90°:
| two_theta | Rel. int. | (hkl) |
| --- | --- | --- |
| 17.09 | 16 | 1 0 1 |
| 26.97 | 100 | 1 1 2 |
| 28.05 | 80 | 1 2 1 |
| 32.55 | 39 | 0 1 3 |
| 35.74 | 44 | 2 2 0 |
| 45.06 | 19 | 1 1 4 |
| 48.55 | 33 | 1 4 1 |
| 54.46 | 31 | 2 3 3 |
| 55.97 | 14 | 1 3 4 |
| 61.56 | 14 | 3 1 4 |

Atomic structure:
a b c (Å): 6.4292 8.0522 8.7823
angles (deg): 90.00 90.00 90.00
Space group I222 (No. 23)
Unique sites:
Rb (0.0000, 0.0000, 0.0000) (multiplicity 2)
Cu (0.0000, 0.5000, 0.1396) (multiplicity 4)
Si (0.0000, 0.0000, 0.5000) (multiplicity 2)
Se (0.2095, 0.1676, 0.3529) (multiplicity 8)



# 2
Starting from DFT lattice parameters and positions (GGA-PBE), the XRD peak list of In2BiPb4 was computed for Cu Kα X-rays.
Peak positions follow from Bragg's law for the DFT cell and can differ from measured ones.

Largest 10 diffraction maxima, by angle, 2θ from 15° to 90°:
| two_theta | Rel. int. | (hkl) |
| --- | --- | --- |
| 27.56 | 67 | 0 1 3 |
| 32.32 | 56 | 0 1 4 |
| 32.59 | 100 | 1 1 -1 |
| 33.55 | 45 | 1 0 3 |
| 33.88 | 47 | 1 0 -4 |
| 40.63 | 28 | 0 2 0 |
| 44.76 | 18 | 0 0 7 |
| 53.70 | 34 | 1 2 3 |
| 53.90 | 24 | 1 2 -4 |
| 62.02 | 14 | 0 2 7 |

Atomic structure:
a b c (Å): 3.5236 4.4415 14.2673
angles (deg): 90.00 96.55 90.00
Space group P2/m (No. 10)
Unique sites:
In (0.2063, 0.0000, 0.4094) (multiplicity 2)
Bi (0.5000, 0.5000, 0.0000) (multiplicity 1)
Pb (0.0750, 0.0000, 0.1430) (multiplicity 2)
Pb (0.3500, 0.5000, 0.7079) (multiplicity 2)



# 3
Starting from DFT lattice parameters and positions (GGA-PBE), the XRD peak list of Ac4Pm3Nd5 was computed for Cu Kα X-rays.
Peak positions follow from Bragg's law for the DFT cell and can differ from measured ones.

Largest 10 diffraction maxima, by angle, 2θ from 15° to 90°:
| two_theta | Rel. int. | (hkl) |
| --- | --- | --- |
| 27.13 | 35 | 2 0 -3 |
| 27.74 | 25 | 1 1 2 |
| 28.12 | 29 | 2 0 2 |
| 28.25 | 42 | 3 1 1 |
| 28.37 | 100 | 0 2 0 |
| 30.11 | 76 | 5 1 -1 |
| 30.55 | 78 | 5 1 -2 |
| 30.76 | 48 | 3 1 -3 |
| 31.79 | 44 | 1 1 -3 |
| 39.65 | 25 | 2 2 -3 |

Atomic structure:
a b c (Å): 17.0075 6.2923 9.9068
angles (deg): 90.00 118.25 90.00
Space group C2/m (No. 12)
Unique sites:
Ac (0.0814, 0.0000, 0.4290) (multiplicity 4)
Ac (0.2142, 0.0000, 0.8727) (multiplicity 4)
Pm (0.0000, 0.5000, 0.0000) (multiplicity 2)
Pm (0.2114, 0.0000, 0.2297) (multiplicity 4)
Nd (0.0000, 0.0000, 0.0000) (multiplicity 2)
Nd (0.0741, 0.5000, 0.6990) (multiplicity 4)
Nd (0.1699, 0.5000, 0.3867) (multiplicity 4)



Question: Which formula does entry 3 have?
Answer: Ac4Pm3Nd5